Structure and theoretical XRD peak list of AgAsPbS3 (the GGA-PBE geometry in the Materials Project; copper Kα).
Lines closer than 0.1° are merged.

Main lines, sorted by position (2θ = 10–90°):
| 2theta | Rel. int. |
| --- | --- |
| 25.6 | 91 |
| 27.5 | 39 |
| 28.0 | 30 |
| 29.2 | 46 |
| 31.7 | 100 |
| 43.4 | 31 |

Unit cell a=6.117 b=12.718 c=7.557 alpha=90.00 beta=90.98 gamma=90.00
Element x y z (fractional)
Ag 0.191 0.236 0.111
Ag 0.191 0.264 0.611
Ag 0.809 0.736 0.389
Ag 0.809 0.764 0.889
As 0.271 0.596 0.651
As 0.271 0.904 0.151
As 0.729 0.096 0.849
As 0.729 0.404 0.349
Pb 0.262 0.587 0.154
Pb 0.262 0.913 0.654
Pb 0.738 0.087 0.346
Pb 0.738 0.413 0.846
S 0.098 0.129 0.844
S 0.098 0.371 0.344
S 0.279 0.049 0.334
S 0.279 0.451 0.834
S 0.383 0.718 0.857
S 0.383 0.782 0.357
S 0.617 0.218 0.643
S 0.617 0.282 0.143
S 0.721 0.549 0.166
S 0.721 0.951 0.666
S 0.902 0.629 0.656
S 0.902 0.871 0.156


Structure and theoretical XRD peak list of Li3OsN2 (the GGA-PBE geometry in the Materials Project; copper Kα).
Lines closer than 0.1° are merged.

Main lines, sorted by position (2θ = 10–90°):
| 2theta | Rel. int. |
| --- | --- |
| 22.3 | 100 |
| 34.3 | 70 |
| 36.8 | 24 |
| 51.2 | 18 |
| 53.0 | 26 |
| 58.1 | 25 |

Unit cell a=8.471 b=8.471 c=8.471 alpha=109.47 beta=109.47 gamma=109.47
Element x y z (fractional)
Li 0.012 0.970 0.235
Li 0.030 0.765 0.988
Li 0.042 0.512 0.277
Li 0.223 0.735 0.765
Li 0.235 0.012 0.970
Li 0.235 0.777 0.265
Li 0.265 0.235 0.777
Li 0.265 0.530 0.542
Li 0.277 0.042 0.512
Li 0.458 0.735 0.470
Li 0.470 0.458 0.735
Li 0.488 0.723 0.958
Li 0.512 0.277 0.042
Li 0.530 0.542 0.265
Li 0.542 0.265 0.530
Li 0.723 0.958 0.488
Li 0.735 0.470 0.458
Li 0.735 0.765 0.223
Li 0.765 0.223 0.735
Li 0.765 0.988 0.030
Li 0.777 0.265 0.235
Li 0.958 0.488 0.723
Li 0.970 0.235 0.012
Li 0.988 0.030 0.765
Os 0.000 0.228 0.500
Os 0.000 0.772 0.500
Os 0.228 0.500 0.000
Os 0.272 0.272 0.272
Os 0.500 0.000 0.228
Os 0.500 0.000 0.772
Os 0.728 0.728 0.728
Os 0.772 0.500 0.000
N 0.000 0.000 0.500
N 0.000 0.500 0.000
N 0.020 0.250 0.270
N 0.230 0.480 0.750
N 0.250 0.270 0.020
N 0.250 0.770 0.520
N 0.270 0.020 0.250
N 0.480 0.750 0.230
N 0.500 0.000 0.000
N 0.500 0.500 0.500
N 0.520 0.250 0.770
N 0.730 0.980 0.750
N 0.750 0.230 0.480
N 0.750 0.730 0.980
N 0.770 0.520 0.250
N 0.980 0.750 0.730


Structure and theoretical XRD peak list of NbTl2PO6 (the GGA-PBE geometry in the Materials Project; copper Kα).
Lines closer than 0.1° are merged.

Main lines, sorted by position (2θ = 10–90°):
| 2theta | Rel. int. |
| --- | --- |
| 20.0 | 20 |
| 26.8 | 100 |
| 28.0 | 24 |
| 30.8 | 34 |
| 35.0 | 20 |
| 35.6 | 20 |

Unit cell a=15.986 b=15.986 c=15.986 alpha=32.23 beta=32.23 gamma=32.23
Element x y z (fractional)
Nb 0.008 0.496 0.256
Nb 0.256 0.008 0.496
Nb 0.496 0.256 0.008
Nb 0.504 0.744 0.992
Nb 0.744 0.992 0.504
Nb 0.992 0.504 0.744
Tl 0.087 0.685 0.309
Tl 0.169 0.607 0.810
Tl 0.190 0.831 0.393
Tl 0.309 0.087 0.685
Tl 0.315 0.691 0.913
Tl 0.393 0.190 0.831
Tl 0.607 0.810 0.169
Tl 0.685 0.309 0.087
Tl 0.691 0.913 0.315
Tl 0.810 0.169 0.607
Tl 0.831 0.393 0.190
Tl 0.913 0.315 0.691
P 0.082 0.082 0.082
P 0.194 0.194 0.194
P 0.417 0.417 0.417
P 0.583 0.583 0.583
P 0.806 0.806 0.806
P 0.918 0.918 0.918
O 0.025 0.397 0.706
O 0.043 0.376 0.198
O 0.049 0.049 0.049
O 0.050 0.932 0.729
O 0.068 0.271 0.950
O 0.069 0.258 0.446
O 0.160 0.160 0.160
O 0.198 0.043 0.376
O 0.257 0.453 0.581
O 0.258 0.446 0.069
O 0.271 0.950 0.068
O 0.294 0.975 0.603
O 0.376 0.198 0.043
O 0.383 0.383 0.383
O 0.397 0.706 0.025
O 0.419 0.743 0.547
O 0.446 0.069 0.258
O 0.453 0.581 0.257
O 0.547 0.419 0.743
O 0.554 0.931 0.742
O 0.581 0.257 0.453
O 0.603 0.294 0.975
O 0.617 0.617 0.617
O 0.624 0.802 0.957
O 0.706 0.025 0.397
O 0.729 0.050 0.932
O 0.742 0.554 0.931
O 0.743 0.547 0.419
O 0.802 0.957 0.624
O 0.840 0.840 0.840
O 0.931 0.742 0.554
O 0.932 0.729 0.050
O 0.950 0.068 0.271
O 0.951 0.951 0.951
O 0.957 0.624 0.802
O 0.975 0.603 0.294